Entry 1:
Starting from the PBE geometry in Alexandria, the powder diffractogram of PuNpSbO2 was calculated for copper Kα.
Kinematic intensities with the Lorentz-polarization factor, no thermal factor.

Crystal structure
Cell lengths 6.8505, 6.8505, 5.5345 Å; angles 90.00, 90.00, 132.29 degrees
Positions (direct):
Pu 0.0972 0.9028 0.7500
Pu 0.9028 0.0972 0.2500
Np 0.4062 0.5938 0.7500
Np 0.5938 0.4062 0.2500
Sb 0.2492 0.7508 0.2500
Sb 0.7508 0.2492 0.7500
O 0.2555 0.2555 0.0000
O 0.2555 0.2555 0.5000
O 0.7445 0.7445 0.0000
O 0.7445 0.7445 0.5000

The 6 most intense peaks (10 to 90 degrees two-theta), by angle:
2θ = 23.81°, I 12
2θ = 31.31°, I 100
2θ = 32.33°, I 43
2θ = 46.37°, I 20
2θ = 55.08°, I 20
2θ = 57.02°, I 38


Entry 2:
Starting from the PBE geometry in Alexandria, the powder diffractogram of HfSc2S5 was calculated for copper Kα.
Kinematic intensities with the Lorentz-polarization factor, no thermal factor.

Crystal structure
Cell lengths 6.6490, 6.6490, 12.3320 Å; angles 90.00, 90.00, 135.61 degrees
Positions (direct):
Hf 0.2003 0.7997 0.7500
Hf 0.7997 0.2003 0.2500
Sc 0.1460 0.8540 0.0541
Sc 0.1460 0.8540 0.4459
Sc 0.8540 0.1460 0.5541
Sc 0.8540 0.1460 0.9459
S 0.0470 0.9530 0.6220
S 0.0470 0.9530 0.8780
S 0.2481 0.7519 0.2500
S 0.3184 0.6816 0.5744
S 0.3184 0.6816 0.9256
S 0.6816 0.3184 0.0744
S 0.6816 0.3184 0.4256
S 0.7519 0.2481 0.7500
S 0.9530 0.0470 0.1220
S 0.9530 0.0470 0.3780

The 6 most intense peaks (10 to 90 degrees two-theta), by angle:
2θ = 14.38°, I 79
2θ = 19.08°, I 43
2θ = 20.40°, I 100
2θ = 32.49°, I 37
2θ = 35.75°, I 39
2θ = 36.47°, I 36


Entry 3:
Starting from the PBE geometry in Alexandria, the powder diffractogram of Mg2ZrZn was calculated for copper Kα.
Kinematic intensities with the Lorentz-polarization factor, no thermal factor.

Crystal structure
Cell lengths 3.0622, 4.6693, 5.7785 Å; angles 90.00, 101.60, 90.00 degrees
Positions (direct):
Mg 0.1498 0.0000 0.2624
Mg 0.8502 0.0000 0.7376
Zr 0.5000 0.5000 0.0000
Zn 0.0000 0.5000 0.5000

The 6 most intense peaks (10 to 90 degrees two-theta), by angle:
2θ = 19.01°, I 75
2θ = 36.44°, I 94
2θ = 36.62°, I 49
2θ = 37.15°, I 100
2θ = 38.56°, I 45
2θ = 54.23°, I 30


Entry 4:
Starting from the PBE geometry in Alexandria, the powder diffractogram of SmTm5Tl3 was calculated for copper Kα.
Kinematic intensities with the Lorentz-polarization factor, no thermal factor.

Crystal structure
Cell lengths 9.2934, 9.2934, 6.6733 Å; angles 90.00, 90.00, 120.00 degrees
Positions (direct):
Sm 0.0000 0.0000 0.0000
Sm 0.0000 0.0000 0.5000
Tm 0.0000 0.3314 0.2500
Tm 0.0000 0.6686 0.7500
Tm 0.3314 0.0000 0.2500
Tm 0.3314 0.3314 0.7500
Tm 0.3333 0.6667 0.0000
Tm 0.3333 0.6667 0.5000
Tm 0.6667 0.3333 0.0000
Tm 0.6667 0.3333 0.5000
Tm 0.6686 0.0000 0.7500
Tm 0.6686 0.6686 0.2500
Tl 0.0000 0.3384 0.7500
Tl 0.0000 0.6616 0.2500
Tl 0.3384 0.0000 0.7500
Tl 0.3384 0.3384 0.2500
Tl 0.6616 0.0000 0.2500
Tl 0.6616 0.6616 0.7500

The 6 most intense peaks (10 to 90 degrees two-theta), by angle:
2θ = 33.05°, I 88
2θ = 33.40°, I 100
2θ = 47.70°, I 32
2θ = 59.48°, I 33
2θ = 59.70°, I 19
2θ = 65.93°, I 29